# 1
Structure and calculated powder X-ray diffraction pattern of Sm2HoEr5Th (DFT lattice parameters and positions (GGA-PBE); Cu Kα).

Lattice parameters (Å, degrees): 9.754 9.754 9.754 127.08 127.08 78.12
Fractional positions:
Sm  0.115  0.615  0.730
Sm  0.385  0.115  0.500
Sm  0.615  0.885  0.500
Sm  0.885  0.385  0.270
Ho  0.250  0.750  0.500
Ho  0.750  0.250  0.500
Er  0.000  0.000  0.000
Er  0.074  0.150  0.500
Er  0.150  0.650  0.076
Er  0.350  0.426  0.500
Er  0.426  0.926  0.076
Er  0.500  0.500  0.000
Er  0.574  0.074  0.924
Er  0.650  0.574  0.500
Er  0.850  0.350  0.924
Er  0.926  0.850  0.500
Th  0.250  0.250  0.000
Th  0.750  0.750  0.000

Principal peaks in the range 2θ from 15° to 90°, most intense first:
d [Å]	2theta	I/Imax
2.855	31.3	100
3.076	29.0	86
1.729	53.0	24
2.088	43.3	19
1.612	57.2	18
2.749	32.6	13
2.381	37.8	13
1.193	80.5	11
1.893	48.1	11
1.423	65.6	11

---

# 2
Structure and calculated powder X-ray diffraction pattern of SmHoEr2Tm2 (DFT lattice parameters and positions (GGA-PBE); Cu Kα).

Lattice parameters (Å, degrees): 6.022 17.976 3.489 90.00 90.00 90.00
Fractional positions:
Sm  0.000  0.000  0.000
Sm  0.500  0.500  0.500
Ho  0.000  0.500  0.000
Ho  0.500  0.000  0.500
Er  0.165  0.342  0.500
Er  0.335  0.842  0.000
Er  0.665  0.158  0.000
Er  0.835  0.658  0.500
Tm  0.166  0.158  0.500
Tm  0.334  0.658  0.000
Tm  0.666  0.342  0.000
Tm  0.834  0.842  0.500

Principal peaks in the range 2θ from 15° to 90°, most intense first:
d [Å]	2theta	I/Imax
2.975	30.0	100
2.504	35.9	78
2.860	31.3	77
2.311	39.0	67
2.996	29.8	65
1.504	61.6	42
1.740	52.6	29
1.544	59.9	23
1.507	61.5	17
1.955	46.4	16

---

# 3
Structure and calculated powder X-ray diffraction pattern of SmHoEr4Tm2 (DFT lattice parameters and positions (GGA-PBE); Cu Kα).

Lattice parameters (Å, degrees): 9.429 9.429 9.429 138.22 103.68 91.02
Fractional positions:
Sm  0.000  0.000  0.000
Sm  0.500  0.000  0.500
Ho  0.500  0.000  0.000
Ho  0.500  0.500  0.500
Er  0.246  0.747  0.499
Er  0.249  0.250  0.501
Er  0.249  0.747  0.999
Er  0.252  0.253  0.999
Er  0.748  0.747  0.001
Er  0.751  0.253  0.001
Er  0.751  0.750  0.499
Er  0.754  0.253  0.501
Tm  0.000  0.000  0.500
Tm  0.000  0.500  0.000
Tm  0.000  0.500  0.500
Tm  0.500  0.500  0.000

Principal peaks in the range 2θ from 15° to 90°, most intense first:
d [Å]	2theta	I/Imax
2.912	30.7	100
2.185	41.3	90
3.304	27.0	46
1.498	61.9	27
1.437	64.9	24
1.681	54.6	20
1.332	70.7	18
1.178	81.7	12
1.456	63.9	12
1.101	88.9	12

---

# 4
Structure and calculated powder X-ray diffraction pattern of Sm2HoEr2Tm (DFT lattice parameters and positions (GGA-PBE); Cu Kα).

Lattice parameters (Å, degrees): 7.004 9.656 5.587 90.00 90.00 90.00
Fractional positions:
Sm  0.249  0.167  0.000
Sm  0.251  0.667  0.500
Sm  0.749  0.333  0.500
Sm  0.751  0.833  0.000
Ho  0.000  0.500  0.000
Ho  0.500  0.000  0.500
Er  0.250  0.334  0.500
Er  0.250  0.834  0.000
Er  0.750  0.166  0.000
Er  0.750  0.666  0.500
Tm  0.000  0.000  0.500
Tm  0.500  0.500  0.000

Principal peaks in the range 2θ from 15° to 90°, most intense first:
d [Å]	2theta	I/Imax
2.790	32.1	100
2.836	31.5	94
1.620	56.8	36
1.989	45.6	34
1.483	62.6	30
1.611	57.2	19
1.186	81.1	14
1.252	76.0	10
2.182	41.4	10
1.751	52.2	8